Starting from a crystal structure in the Materials Project, relaxed with PBE+U, the X-ray diffraction stick pattern of VZnGe2O6 was calculated for copper Kα.
Lines closer than 0.1° are merged.

Most intense lines, 15° ≤ 2θ ≤ 90°, by angle:
2theta	Rel. int.	index
25.52	47	1 2 -1
26.57	51	2 2 0
28.10	100	1 2 1
29.10	40	2 1 1
29.50	77	3 1 0
33.10	43	0 3 1
34.35	61	2 0 -2
34.97	32	3 2 -1
53.80	40	4 3 1
64.28	41	6 3 -1

```
data_VZnGe2O6
_space_group_name_H-M_alt 'P 1 21/c 1'
_space_group_IT_number 14
_cell_length_a 9.840
_cell_length_b 9.386
_cell_length_c 5.532
_cell_angle_alpha 90.00
_cell_angle_beta 102.78
_cell_angle_gamma 90.00
loop_
_space_group_symop_operation_xyz
'x,y,z'
'-x,-y,-z'
'-x,y+1/2,-z+1/2'
'x,-y+1/2,z+1/2'
loop_
_atom_site_label
_atom_site_type_symbol
_atom_site_fract_x
_atom_site_fract_y
_atom_site_fract_z
_atom_site_occupancy
V1 V 0.247 0.155 0.466 1
Zn1 Zn 0.245 0.502 0.458 1
Ge1 Ge 0.058 0.664 0.814 1
Ge2 Ge 0.454 0.659 0.251 1
O1 O 0.109 0.685 0.149 1
O2 O 0.128 0.162 0.755 1
O3 O 0.142 0.515 0.730 1
O4 O 0.362 0.163 0.181 1
O5 O 0.371 0.006 0.714 1
O6 O 0.384 0.720 0.506 1
```

=====

Starting from a crystal structure in the Materials Project, relaxed with PBE+U, the X-ray diffraction stick pattern of MgMn6O8F4 was calculated for copper Kα.
Lines closer than 0.1° are merged.

Most intense lines, 15° ≤ 2θ ≤ 90°, by angle:
2theta	Rel. int.	index
24.00	100	1 1 1
27.54	84	-1 1 1
33.89	37	1 1 -2
34.63	52	1 -1 2
35.31	22	0 0 3
40.58	20	1 -2 1
49.47	21	1 3 0
53.93	18	1 -3 0
56.87	17	-2 2 2
60.55	20	0 2 -4

```
data_MgMn6O8F4
_space_group_name_H-M_alt 'P 1'
_space_group_IT_number 1
_cell_length_a 5.109
_cell_length_b 5.720
_cell_length_c 7.661
_cell_angle_alpha 85.32
_cell_angle_beta 86.41
_cell_angle_gamma 82.69
loop_
_space_group_symop_operation_xyz
'x,y,z'
loop_
_atom_site_label
_atom_site_type_symbol
_atom_site_fract_x
_atom_site_fract_y
_atom_site_fract_z
_atom_site_occupancy
Mg1 Mg 0.000 0.000 0.000 1
Mn1 Mn 0.011 0.991 0.477 1
Mn2 Mn 0.088 0.381 0.168 1
Mn3 Mn 0.487 0.832 0.139 1
Mn4 Mn 0.513 0.161 0.798 1
Mn5 Mn 0.552 0.527 0.501 1
Mn6 Mn 0.996 0.623 0.800 1
O1 O 0.181 0.659 0.033 1
O2 O 0.324 0.456 0.717 1
O3 O 0.330 0.144 0.035 1
O4 O 0.340 0.816 0.381 1
O5 O 0.703 0.862 0.913 1
O6 O 0.736 0.214 0.587 1
O7 O 0.827 0.694 0.579 1
O8 O 0.918 0.106 0.249 1
F1 F 0.173 0.967 0.725 1
F2 F 0.305 0.347 0.382 1
F3 F 0.747 0.576 0.242 1
F4 F 0.836 0.329 0.933 1
```

=====

Starting from a crystal structure in the Materials Project, relaxed with PBE+U, the X-ray diffraction stick pattern of Li2Fe2Si3O10 was calculated for copper Kα.
Lines closer than 0.1° are merged.

Most intense lines, 15° ≤ 2θ ≤ 90°, by angle:
2theta	Rel. int.	index
18.74	100	0 1 0
19.25	39	1 0 -1
19.44	29	1 -1 1
21.07	55	1 0 -2
21.93	32	-1 1 2
22.09	24	1 0 2
31.84	66	0 0 6
32.74	27	1 1 -1
32.94	30	1 -2 1
33.64	30	-1 2 1

```
data_Li2Fe2Si3O10
_space_group_name_H-M_alt 'P 1'
_space_group_IT_number 1
_cell_length_a 5.429
_cell_length_b 5.463
_cell_length_c 16.931
_cell_angle_alpha 93.91
_cell_angle_beta 90.83
_cell_angle_gamma 119.49
loop_
_space_group_symop_operation_xyz
'x,y,z'
loop_
_atom_site_label
_atom_site_type_symbol
_atom_site_fract_x
_atom_site_fract_y
_atom_site_fract_z
_atom_site_occupancy
Li1 Li 0.000 0.000 0.000 1
Li2 Li 0.086 0.100 0.298 1
Li3 Li 0.221 0.877 0.781 1
Li4 Li 0.810 0.987 0.501 1
Fe1 Fe 0.475 0.302 0.468 1
Fe2 Fe 0.646 0.310 0.970 1
Fe3 Fe 0.654 0.691 0.135 1
Fe4 Fe 0.840 0.676 0.637 1
Si1 Si 0.136 0.640 0.450 1
Si2 Si 0.187 0.331 0.647 1
Si3 Si 0.320 0.646 0.947 1
Si4 Si 0.517 0.489 0.800 1
Si5 Si 0.789 0.491 0.298 1
Si6 Si 0.969 0.345 0.145 1
O1 O 0.024 0.359 0.961 1
O2 O 0.073 0.684 0.359 1
O3 O 0.138 0.340 0.455 1
O4 O 0.144 0.606 0.656 1
O5 O 0.266 0.259 0.734 1
O6 O 0.282 0.612 0.141 1
O7 O 0.317 0.936 0.976 1
O8 O 0.378 0.664 0.849 1
O9 O 0.429 0.929 0.481 1
O10 O 0.464 0.400 0.593 1
O11 O 0.514 0.307 0.350 1
O12 O 0.564 0.290 0.857 1
O13 O 0.593 0.641 0.990 1
O14 O 0.731 0.394 0.097 1
O15 O 0.767 0.719 0.247 1
O16 O 0.788 0.697 0.752 1
O17 O 0.860 0.617 0.498 1
O18 O 0.880 0.294 0.241 1
O19 O 0.912 0.041 0.610 1
O20 O 0.949 0.051 0.111 1
```